(1)
Calculated powder X-ray diffraction pattern of Er3CoBi for Cu Kα, from DFT lattice parameters and positions (GGA-PBE).
Neutral-atom scattering factors, no anomalous dispersion.

Structure:
abc: 7.9548 4.2690 8.3570
angles: 90.00 114.59 90.00
Element x y z (fractional)
Er  0.0377  0.2500  0.2490
Er  0.3176  0.7500  0.5917
Er  0.3276  0.2500  0.9130
Er  0.6724  0.7500  0.0870
Er  0.6824  0.2500  0.4083
Er  0.9623  0.7500  0.7510
Co  0.0680  0.2500  0.5864
Co  0.9320  0.7500  0.4136
Bi  0.3244  0.7500  0.2016
Bi  0.6756  0.2500  0.7984

Most intense lines, 2θ from 10° to 80°, sorted by position:
Position (°2θ), intensity
29.13, 79
30.77, 100
31.52, 54
33.53, 84
37.29, 59
37.46, 35
38.67, 34
42.37, 81



(2)
Calculated powder X-ray diffraction pattern of Er7Co2Bi2 for Cu Kα, from DFT lattice parameters and positions (GGA-PBE).
Neutral-atom scattering factors, no anomalous dispersion.

Structure:
abc: 9.6570 9.6570 9.6570
angles: 158.37 65.57 118.95
Element x y z (fractional)
Er  0.0000  0.0000  0.0000
Er  0.3032  0.4409  0.8623
Er  0.3169  0.6342  0.6828
Er  0.5786  0.4409  0.1377
Er  0.6314  0.2883  0.3431
Er  0.9451  0.2883  0.6569
Er  0.9514  0.6342  0.3172
Co  0.1838  0.9459  0.2379
Co  0.7079  0.9459  0.7621
Bi  0.2740  0.7740  0.5000
Bi  0.6756  0.6756  0.0000

Most intense lines, 2θ from 10° to 80°, sorted by position:
Position (°2θ), intensity
28.48, 31
31.17, 42
31.98, 100
33.10, 38
34.41, 85
34.96, 42
50.35, 23
60.90, 32